Computed PXRD pattern of LuNi4Sn for CuKα, from a crystal structure in the Materials Project, relaxed with PBE.

Structure:
Unit cell a=4.943 b=4.943 c=4.943 alpha=60.00 beta=60.00 gamma=60.00
Fractional coordinates of all 6 atoms:
Lu 0.000 0.000 0.000
Ni 0.126 0.625 0.625
Ni 0.625 0.126 0.625
Ni 0.625 0.625 0.126
Ni 0.625 0.625 0.625
Sn 0.250 0.250 0.250

Principal peaks in the range 5 to 70 degrees two-theta, low angle first:
2θ (°)	intensity
22.0	11
36.3	60
42.9	100
44.9	17
65.4	22
69.9	31


Computed PXRD pattern of LuNi5Sn for CuKα, from a crystal structure in the Materials Project, relaxed with PBE.

Structure:
Unit cell a=7.990 b=4.822 c=10.206 alpha=90.00 beta=90.00 gamma=90.00
Fractional coordinates of all 28 atoms:
Lu 0.246 0.250 0.061
Lu 0.254 0.750 0.561
Lu 0.746 0.250 0.439
Lu 0.754 0.750 0.939
Ni 0.047 0.250 0.598
Ni 0.067 0.501 0.809
Ni 0.067 0.999 0.809
Ni 0.086 0.750 0.017
Ni 0.189 0.750 0.242
Ni 0.311 0.250 0.742
Ni 0.414 0.250 0.517
Ni 0.433 0.001 0.309
Ni 0.433 0.499 0.309
Ni 0.453 0.750 0.098
Ni 0.547 0.250 0.902
Ni 0.567 0.501 0.691
Ni 0.567 0.999 0.691
Ni 0.586 0.750 0.483
Ni 0.689 0.750 0.258
Ni 0.811 0.250 0.758
Ni 0.914 0.250 0.983
Ni 0.933 0.001 0.191
Ni 0.933 0.499 0.191
Ni 0.953 0.750 0.402
Sn 0.139 0.250 0.361
Sn 0.361 0.750 0.861
Sn 0.639 0.250 0.139
Sn 0.861 0.750 0.639

Principal peaks in the range 5 to 70 degrees two-theta, low angle first:
2θ (°)	intensity
37.0	49
37.3	42
39.5	84
39.7	100
46.3	61
47.6	38


Computed PXRD pattern of Lu3Np for CuKα, from a crystal structure in the Materials Project, relaxed with PBE.

Structure:
Unit cell a=4.832 b=4.832 c=4.832 alpha=90.00 beta=90.00 gamma=90.00
Fractional coordinates of all 4 atoms:
Lu 0.000 0.000 0.500
Lu 0.000 0.500 0.000
Lu 0.500 0.000 0.000
Np 0.500 0.500 0.500

Principal peaks in the range 5 to 70 degrees two-theta, low angle first:
2θ (°)	intensity
18.4	2
32.1	100
37.2	51
53.6	36
63.9	43
67.1	12


Computed PXRD pattern of LuNpO3 for CuKα, from a crystal structure in the Materials Project, relaxed with PBE.

Structure:
Unit cell a=4.198 b=4.198 c=4.198 alpha=90.00 beta=90.00 gamma=90.00
Fractional coordinates of all 5 atoms:
Lu 0.000 0.000 0.000
Np 0.500 0.500 0.500
O 0.000 0.000 0.500
O 0.000 0.500 0.000
O 0.500 0.000 0.000

Principal peaks in the range 5 to 70 degrees two-theta, low angle first:
2θ (°)	intensity
21.2	1
30.1	100
37.1	3
43.1	26
53.5	42
62.6	17


Computed PXRD pattern of LuNpRu2 for CuKα, from a crystal structure in the Materials Project, relaxed with PBE.

Structure:
Unit cell a=4.722 b=4.722 c=4.722 alpha=60.00 beta=60.00 gamma=60.00
Fractional coordinates of all 4 atoms:
Lu 0.000 0.000 0.000
Np 0.500 0.500 0.500
Ru 0.250 0.250 0.250
Ru 0.750 0.750 0.750

Principal peaks in the range 5 to 70 degrees two-theta, low angle first:
2θ (°)	intensity
26.7	13
38.1	100
47.1	4
55.0	17
62.2	6
68.9	35


Computed PXRD pattern of LuO2 for CuKα, from a crystal structure in the Materials Project, relaxed with PBE.

Structure:
Unit cell a=4.129 b=3.545 c=6.021 alpha=90.00 beta=108.20 gamma=90.00
Fractional coordinates of all 6 atoms:
Lu 0.169 0.250 0.315
Lu 0.831 0.750 0.685
O 0.185 0.750 0.054
O 0.269 0.750 0.548
O 0.731 0.250 0.452
O 0.815 0.250 0.946

Principal peaks in the range 5 to 70 degrees two-theta, low angle first:
2θ (°)	intensity
15.5	45
23.1	48
29.6	100
31.4	46
34.1	39
34.4	48


Computed PXRD pattern of LuP2O2 for CuKα, from a crystal structure in the Materials Project, relaxed with PBE.

Structure:
Unit cell a=9.194 b=9.194 c=9.194 alpha=136.09 beta=136.09 gamma=63.84
Fractional coordinates of all 20 atoms:
Lu 0.000 0.000 0.000
Lu 0.000 0.000 0.500
Lu 0.000 0.500 0.000
Lu 0.500 0.000 0.500
P 0.234 0.314 0.581
P 0.234 0.653 0.919
P 0.314 0.234 0.081
P 0.347 0.766 0.581
P 0.653 0.234 0.419
P 0.686 0.766 0.919
P 0.766 0.347 0.081
P 0.766 0.686 0.419
O 0.133 0.184 0.551
O 0.133 0.581 0.949
O 0.184 0.133 0.051
O 0.419 0.867 0.551
O 0.581 0.133 0.449
O 0.816 0.867 0.949
O 0.867 0.419 0.051
O 0.867 0.816 0.449

Principal peaks in the range 5 to 70 degrees two-theta, low angle first:
2θ (°)	intensity
14.1	100
22.8	49
28.4	43
29.6	71
37.0	39
43.9	28


Question: Which formula does entry 3 have?
Answer: Lu3Np